Entry 1:
Simulated powder X-ray diffraction pattern of CoTe2 for a wavelength of 1.5418 Å, from a cell relaxed with PBE.
Intensities are scaled so that the largest is 100.

Cell and atoms:
Cell lengths 3.7852, 3.7852, 5.5610 Å; angles 90.00, 90.00, 120.00 degrees
Space group P-3m1 (No. 164)
Unique sites:
1 Co 0.0000 0.0000 0.0000
2 Te 0.3333 0.6667 0.7611

Top 6 peaks for 10° ≤ 2θ ≤ 80°, in order of rising 2θ:
(1 0 1), 31.68°, intensity 100.0; (1 0 2), 42.64°, intensity 31.4; (1 1 0), 48.07°, intensity 30.3; (0 1 3), 57.08°, intensity 19.4; (0 2 1), 58.73°, intensity 16.8; (2 1 1), 79.21°, intensity 13.9

=====

Entry 2:
Simulated powder X-ray diffraction pattern of CoTe2 for a wavelength of 1.5418 Å, from a cell relaxed with PBE.
Intensities are scaled so that the largest is 100.

Cell and atoms:
Cell lengths 6.3124, 6.3124, 6.3124 Å; angles 90.00, 90.00, 90.00 degrees
Space group Pa-3 (No. 205)
Unique sites:
1 Co 0.0000 0.0000 0.0000
2 Te 0.1343 0.6343 0.8657

Top 6 peaks for 10° ≤ 2θ ≤ 80°, in order of rising 2θ:
(2 1 0), 31.70°, intensity 100.0; (2 1 1), 34.81°, intensity 68.6; (3 1 1), 47.79°, intensity 42.4; (3 0 2), 52.25°, intensity 14.2; (3 1 2), 54.38°, intensity 39.9; (4 2 1), 68.06°, intensity 20.4

=====

Entry 3:
Simulated powder X-ray diffraction pattern of VCoTe for a wavelength of 1.5418 Å, from a cell relaxed with PBE.
Intensities are scaled so that the largest is 100.

Cell and atoms:
Cell lengths 5.8647, 5.8647, 5.8647 Å; angles 90.00, 90.00, 90.00 degrees
Space group F-43m (No. 216)
Unique sites:
1 V 0.0000 0.0000 0.0000
2 Co 0.2500 0.2500 0.2500
3 Te 0.0000 0.0000 0.5000

Top 6 peaks for 10° ≤ 2θ ≤ 80°, in order of rising 2θ:
(1 1 1), 26.32°, intensity 44.1; (2 0 0), 30.48°, intensity 30.8; (2 2 0), 43.65°, intensity 100.0; (3 1 1), 51.69°, intensity 20.8; (4 0 0), 63.45°, intensity 15.6; (4 2 0), 72.01°, intensity 10.0

=====

Entry 4:
Simulated powder X-ray diffraction pattern of Y5Co2Te2 for a wavelength of 1.5418 Å, from a cell relaxed with PBE.
Intensities are scaled so that the largest is 100.

Cell and atoms:
Cell lengths 3.9383, 15.1014, 15.0211 Å; angles 90.00, 90.00, 90.00 degrees
Space group Cmcm (No. 63)
Unique sites:
1 Y 0.0000 0.0392 0.1243
2 Y 0.0000 0.2577 0.6289
3 Y 0.0000 0.3952 0.2500
4 Co 0.0000 0.1791 0.2500
5 Co 0.0000 0.4094 0.7500
6 Te 0.0000 0.3832 0.0387

Top 6 peaks for 10° ≤ 2θ ≤ 80°, in order of rising 2θ:
(1 3 1), 29.41°, intensity 73.8; (1 1 4), 33.50°, intensity 91.8; (0 4 4), 33.66°, intensity 100.0; (1 3 3), 34.00°, intensity 71.1; (1 5 0), 37.53°, intensity 49.8; (1 1 5), 38.14°, intensity 56.4

=====

Entry 5:
Simulated powder X-ray diffraction pattern of ThCo for a wavelength of 1.5418 Å, from a cell relaxed with PBE.
Intensities are scaled so that the largest is 100.

Cell and atoms:
Cell lengths 3.7257, 11.1859, 3.9846 Å; angles 90.00, 90.00, 90.00 degrees
Space group Cmcm (No. 63)
Unique sites:
1 Th 0.0000 0.1334 0.2500
2 Co 0.0000 0.4075 0.2500

Top 6 peaks for 10° ≤ 2θ ≤ 80°, in order of rising 2θ:
(1 1 0), 25.19°, intensity 24.2; (0 2 1), 27.48°, intensity 56.9; (0 4 0), 32.00°, intensity 49.4; (1 1 1), 33.90°, intensity 100.0; (1 3 0), 34.02°, intensity 35.7; (1 3 1), 41.06°, intensity 54.6

=====

Entry 6:
Simulated powder X-ray diffraction pattern of ThCo3 for a wavelength of 1.5418 Å, from a cell relaxed with PBE.
Intensities are scaled so that the largest is 100.

Cell and atoms:
Cell lengths 4.9702, 4.9702, 25.4248 Å; angles 90.00, 90.00, 120.00 degrees
Space group R-3m (No. 166, hexagonal axes)
Unique sites:
1 Th 0.0000 0.0000 0.0000
2 Th 0.0000 0.0000 0.1367
3 Co 0.0000 0.0000 0.3326
4 Co 0.0000 0.0000 0.5000
5 Co 0.0021 0.5011 0.0799

Top 6 peaks for 10° ≤ 2θ ≤ 80°, in order of rising 2θ:
(1 0 1), 20.94°, intensity 34.6; (1 0 7), 32.25°, intensity 55.9; (0 1 8), 35.10°, intensity 47.5; (1 1 0), 36.14°, intensity 52.6; (1 1 6), 42.15°, intensity 100.0; (1 2 8), 64.34°, intensity 22.3